Diffraction record for DyHfPtRh. The XRD peak list is computed, not measured: it uses DFT lattice parameters and positions (GGA-PBE) and Cu Kα X-rays.
Kinematic intensities with the Lorentz-polarization factor, no thermal factor.

Structural model:
Cell: 6.760 6.760 6.760 Å, 90.00 90.00 90.00°
Space group F-43m (No. 216)
Symmetry-distinct sites (fractional):
Dy: 0.000 0.000 0.000 (multiplicity 4)
Hf: 0.000 0.000 0.500 (multiplicity 4)
Pt: 0.250 0.250 0.750 (multiplicity 4)
Rh: 0.250 0.250 0.250 (multiplicity 4)

Main lines, in order of rising 2θ (2θ from 15° to 90°):
2θ = 22.78°, I 4, (1 1 1); 2θ = 37.63°, I 100, (2 2 0); 2θ = 44.45°, I 2, (3 1 1); 2θ = 54.28°, I 17, (4 0 0); 2θ = 59.61°, I 1, (3 3 1); 2θ = 67.93°, I 36, (4 2 2); 2θ = 72.68°, I 1, (5 1 1); 2θ = 80.35°, I 11, (4 4 0); 2θ = 84.86°, I 1, (5 3 1)

Diffraction record for DyHfS4. The XRD peak list is computed, not measured: it uses DFT lattice parameters and positions (GGA-PBE) and Cu Kα X-rays.
Kinematic intensities with the Lorentz-polarization factor, no thermal factor.

Structural model:
Cell: 8.778 8.880 3.861 Å, 90.00 90.00 90.00°
Space group Cmmm (No. 65)
Symmetry-distinct sites (fractional):
Dy: 0.000 0.000 0.000 (multiplicity 2)
Hf: 0.000 0.500 0.500 (multiplicity 2)
S: 0.000 0.311 0.000 (multiplicity 4)
S: 0.214 0.000 0.500 (multiplicity 4)

Main lines, in order of rising 2θ (2θ from 15° to 90°):
2θ = 20.00°, I 77, (0 2 0); 2θ = 20.23°, I 70, (2 0 0); 2θ = 27.16°, I 100, (1 1 1); 2θ = 28.60°, I 26, (2 2 0); 2θ = 39.72°, I 61, (1 3 1); 2θ = 39.97°, I 52, (3 1 1); 2θ = 40.64°, I 16, (0 4 0); 2θ = 41.13°, I 18, (4 0 0); 2θ = 46.14°, I 15, (4 2 0); 2θ = 49.78°, I 41, (3 3 1)

Diffraction record for DyHf3Sc7. The XRD peak list is computed, not measured: it uses DFT lattice parameters and positions (GGA-PBE) and Cu Kα X-rays.
Kinematic intensities with the Lorentz-polarization factor, no thermal factor.

Structural model:
Cell: 6.4352 6.4352 7.7777 Å, 90.00 90.00 120.00°
Space group P3m1 (No. 156)
Symmetry-distinct sites (fractional):
Dy: 0.0000 0.0000 0.0000 (multiplicity 1)
Hf: 0.1684 0.3368 0.3397 (multiplicity 3)
Sc: 0.0023 0.5012 0.0154 (multiplicity 3)
Sc: 0.3333 0.6667 0.6677 (multiplicity 1)
Sc: 0.3337 0.1668 0.6551 (multiplicity 3)

Main lines, in order of rising 2θ (2θ from 15° to 90°):
2θ = 15.90°, I 37, (1 0 0); 2θ = 19.60°, I 24, (0 1 1); 2θ = 30.06°, I 18, (1 1 1); 2θ = 34.18°, I 100, (0 2 1); 2θ = 34.60°, I 29, (0 0 3); 2θ = 39.80°, I 67, (2 0 2); 2θ = 57.27°, I 20, (2 2 0); 2θ = 57.82°, I 21, (0 2 4); 2θ = 68.41°, I 13, (4 0 1); 2θ = 68.66°, I 23, (2 2 3)

Diffraction record for DyHf2Sc9. The XRD peak list is computed, not measured: it uses DFT lattice parameters and positions (GGA-PBE) and Cu Kα X-rays.
Kinematic intensities with the Lorentz-polarization factor, no thermal factor.

Structural model:
Cell: 10.2960 10.2960 3.2316 Å, 90.00 90.00 120.00°
Space group P6/mmm (No. 191)
Symmetry-distinct sites (fractional):
Dy: 0.0000 0.0000 0.0000 (multiplicity 1)
Hf: 0.3333 0.6667 0.0000 (multiplicity 2)
Sc: 0.0000 0.5000 0.0000 (multiplicity 3)
Sc: 0.1816 0.3632 0.5000 (multiplicity 6)

Main lines, in order of rising 2θ (2θ from 15° to 90°):
2θ = 17.23°, I 100, (1 1 0); 2θ = 30.07°, I 25, (3 0 0); 2θ = 32.72°, I 90, (1 1 1); 2θ = 34.86°, I 99, (2 2 0); 2θ = 41.27°, I 50, (3 0 1); 2θ = 45.03°, I 21, (2 2 1); 2θ = 46.68°, I 18, (4 1 0); 2θ = 55.09°, I 39, (4 1 1); 2θ = 68.57°, I 26, (2 2 2); 2θ = 72.36°, I 20, (5 2 1)